(1)
Diffraction record for FeSnF6. The PXRD pattern is calculated, not measured: it uses a DFT-relaxed cell (GGA+U, the Materials Project) and Cu Kα (λ = 1.5418 Å).

Structure:
a b c (Å): 5.631 5.631 5.631
angles (deg): 58.28 58.28 58.28
Sites, in units of the cell vectors:
Fe (0.000, 0.000, 0.000)
Sn (0.500, 0.500, 0.500)
F (0.150, 0.363, 0.739)
F (0.261, 0.850, 0.637)
F (0.363, 0.739, 0.150)
F (0.637, 0.261, 0.850)
F (0.739, 0.150, 0.363)
F (0.850, 0.637, 0.261)

Principal peaks in the range 2θ from 10° to 80°, by angle:
- 2θ = 19.74°, I 14
- 2θ = 22.64°, I 100
- 2θ = 31.80°, I 25
- 2θ = 32.66°, I 15
- 2θ = 38.09°, I 14
- 2θ = 40.11°, I 8
- 2θ = 46.23°, I 19
- 2θ = 51.49°, I 27
- 2θ = 52.65°, I 17
- 2θ = 57.75°, I 11
- 2θ = 58.28°, I 10
- 2θ = 73.11°, I 9



(2)
Diffraction record for NaSr2MnO6. The PXRD pattern is calculated, not measured: it uses a DFT-relaxed cell (GGA+U, the Materials Project) and Cu Kα (λ = 1.5418 Å).

Structure:
a b c (Å): 5.746 5.746 5.746
angles (deg): 60.00 60.00 60.00
Sites, in units of the cell vectors:
Na (0.000, 0.000, 0.000)
Sr (0.250, 0.250, 0.250)
Sr (0.750, 0.750, 0.750)
Mn (0.500, 0.500, 0.500)
O (0.269, 0.269, 0.731)
O (0.269, 0.731, 0.269)
O (0.269, 0.731, 0.731)
O (0.731, 0.269, 0.269)
O (0.731, 0.269, 0.731)
O (0.731, 0.731, 0.269)

Principal peaks in the range 2θ from 10° to 80°, by angle:
- 2θ = 18.91°, I 9
- 2θ = 21.87°, I 8
- 2θ = 31.13°, I 100
- 2θ = 36.68°, I 2
- 2θ = 38.37°, I 27
- 2θ = 44.60°, I 43
- 2θ = 50.21°, I 5
- 2θ = 55.39°, I 38
- 2θ = 64.91°, I 24
- 2θ = 69.39°, I 3
- 2θ = 73.74°, I 17
- 2θ = 77.99°, I 8